# 1
The following is a simulated powder diffractogram of La8Te3SeO8. It was derived from the GGA-PBE geometry in the Materials Project, using Cu Kα (weighted mean of Kα1 and Kα2).

The 8 most intense peaks (10° ≤ 2θ ≤ 90°), by angle:
| 2theta | d/Å | I (rel.) | hkl |
| --- | --- | --- | --- |
| 29.83 | 2.995 | 100.0 | 1 0 6 |
| 30.75 | 2.908 | 39.1 | 1 1 0 |
| 44.04 | 2.056 | 20.4 | 2 0 0 |
| 52.38 | 1.747 | 22.4 | 1 1 12 |
| 54.10 | 1.695 | 37.3 | 2 1 6 |
| 61.97 | 1.497 | 10.0 | 2 0 12 |
| 87.24 | 1.117 | 10.3 | 3 1 12 |
| 88.63 | 1.104 | 9.4 | 3 2 6 |

Cell and atoms:
a = 4.112 Å, b = 4.112 Å, c = 26.221 Å
α = 90.00°, β = 90.00°, γ = 90.00°
Space group P4/mmm (No. 123)
One atom of each set of equivalent atoms:
La 0.000 0.000 0.078
La 0.000 0.000 0.421
La 0.500 0.500 0.171
La 0.500 0.500 0.329
Te 0.000 0.000 0.250
Te 0.500 0.500 0.500
Se 0.500 0.500 0.000
O 0.000 0.500 0.124
O 0.000 0.500 0.375

***

# 2
The following is a simulated powder diffractogram of La6Ti3Se9O5. It was derived from the GGA-PBE geometry in the Materials Project, using Cu Kα (weighted mean of Kα1 and Kα2).

The 8 most intense peaks (10° ≤ 2θ ≤ 90°), by angle:
| 2theta | d/Å | I (rel.) | hkl |
| --- | --- | --- | --- |
| 23.97 | 3.713 | 32.3 | 12 0 0 |
| 30.73 | 2.910 | 29.1 | 9 1 1 |
| 32.08 | 2.790 | 100.0 | 0 0 4 |
| 34.35 | 2.610 | 48.3 | 9 1 2 |
| 34.92 | 2.570 | 66.4 | 7 1 -3 |
| 39.41 | 2.286 | 21.3 | 9 1 3 |
| 40.68 | 2.218 | 20.4 | 3 1 4 |
| 46.22 | 1.964 | 43.0 | 0 2 0 |

Cell and atoms:
a = 44.847 Å, b = 3.928 Å, c = 11.257 Å
α = 90.00°, β = 97.00°, γ = 90.00°
Space group Cm (No. 8)
One atom of each set of equivalent atoms:
La 0.000 0.000 0.000
La 0.000 0.000 0.455
La 0.073 0.500 0.810
La 0.099 0.000 0.448
La 0.173 0.000 0.211
La 0.176 0.500 0.718
La 0.250 0.500 0.208
La 0.254 0.000 0.717
La 0.325 0.000 0.475
La 0.350 0.500 0.114
La 0.424 0.000 0.468
La 0.424 0.000 0.924
Ti 0.071 0.500 0.119
Ti 0.213 0.000 0.963
Ti 0.213 0.500 0.463
Ti 0.355 0.500 0.807
Ti 0.443 0.500 0.203
Ti 0.481 0.000 0.721
Se 0.023 0.000 0.745
Se 0.049 0.000 0.238
Se 0.057 0.500 0.524
Se 0.101 0.000 0.016
Se 0.120 0.000 0.717
Se 0.122 0.500 0.278
Se 0.172 0.500 0.989
Se 0.173 0.000 0.493
Se 0.253 0.000 0.434
Se 0.254 0.500 0.939
Se 0.302 0.500 0.646
Se 0.306 0.000 0.209
Se 0.325 0.000 0.910
Se 0.367 0.500 0.400
Se 0.374 0.000 0.686
Se 0.401 0.000 0.179
Se 0.441 0.500 0.697
Se 0.483 0.000 0.227
O 0.042 0.500 0.994
O 0.200 0.500 0.292
O 0.202 0.000 0.793
O 0.224 0.000 0.135
O 0.226 0.500 0.636
O 0.384 0.500 0.931
O 0.445 0.500 0.380
O 0.447 0.500 0.032
O 0.477 0.000 0.892
O 0.479 0.000 0.543

***

# 3
The following is a simulated powder diffractogram of La6Ti3Se9O5. It was derived from the GGA-PBE geometry in the Materials Project, using Cu Kα (weighted mean of Kα1 and Kα2).

The 8 most intense peaks (10° ≤ 2θ ≤ 90°), by angle:
| 2theta | d/Å | I (rel.) | hkl |
| --- | --- | --- | --- |
| 24.25 | 3.671 | 72.0 | 12 0 0 |
| 30.64 | 2.918 | 83.3 | 9 1 1 |
| 32.12 | 2.787 | 81.5 | 9 1 -2 |
| 32.23 | 2.777 | 87.7 | 0 0 4 |
| 32.95 | 2.718 | 46.3 | 2 0 4 |
| 34.27 | 2.617 | 64.0 | 9 1 2 |
| 34.91 | 2.570 | 100.0 | 7 1 -3 |
| 45.67 | 1.986 | 90.7 | 0 2 0 |

Cell and atoms:
a = 44.372 Å, b = 3.973 Å, c = 11.191 Å
α = 90.00°, β = 96.71°, γ = 90.00°
Space group C2/m (No. 12)
One atom of each set of equivalent atoms:
La 0.037 0.000 0.246
La 0.041 0.500 0.753
La 0.112 0.500 0.514
La 0.137 0.000 0.151
La 0.210 0.500 0.958
La 0.211 0.500 0.507
Ti 0.000 0.000 0.500
Ti 0.000 0.500 0.000
Ti 0.142 0.000 0.844
Ti 0.230 0.000 0.240
Se 0.040 0.500 0.471
Se 0.041 0.000 0.974
Se 0.091 0.000 0.685
Se 0.093 0.500 0.247
Se 0.113 0.500 0.949
Se 0.156 0.000 0.439
Se 0.163 0.500 0.724
Se 0.190 0.500 0.218
Se 0.228 0.000 0.736
O 0.011 0.500 0.171
O 0.013 0.000 0.672
O 0.172 0.000 0.968
O 0.232 0.000 0.417
O 0.235 0.000 0.070

***

# 4
The following is a simulated powder diffractogram of La6Ti3Se9O5. It was derived from the GGA-PBE geometry in the Materials Project, using Cu Kα (weighted mean of Kα1 and Kα2).

The 8 most intense peaks (10° ≤ 2θ ≤ 90°), by angle:
| 2theta | d/Å | I (rel.) | hkl |
| --- | --- | --- | --- |
| 23.97 | 3.713 | 33.9 | 0 0 6 |
| 30.73 | 2.910 | 27.6 | 1 -1 5 |
| 32.08 | 2.790 | 100.0 | 0 4 0 |
| 34.32 | 2.613 | 35.4 | 1 2 -4 |
| 34.92 | 2.570 | 65.3 | -1 3 3 |
| 39.41 | 2.287 | 21.8 | 1 -3 5 |
| 40.68 | 2.218 | 20.3 | 1 -4 2 |
| 46.22 | 1.964 | 42.9 | 2 0 1 |

Cell and atoms:
a = 3.928 Å, b = 11.257 Å, c = 22.509 Å
α = 83.03°, β = 85.01°, γ = 89.99°
Space group P1 (No. 1)
One atom of each set of equivalent atoms:
La 0.000 0.000 0.000
La 0.005 0.455 0.001
La 0.109 0.449 0.802
La 0.173 0.210 0.658
La 0.257 0.715 0.497
La 0.326 0.474 0.354
La 0.421 0.922 0.156
La 0.432 0.467 0.155
La 0.582 0.811 0.853
La 0.679 0.717 0.652
La 0.747 0.207 0.504
La 0.848 0.113 0.303
Ti 0.209 0.962 0.578
Ti 0.486 0.719 0.039
Ti 0.572 0.118 0.861
Ti 0.721 0.462 0.577
Ti 0.857 0.806 0.294
Ti 0.945 0.202 0.117
Se 0.027 0.744 0.957
Se 0.054 0.236 0.905
Se 0.109 0.015 0.802
Se 0.123 0.716 0.763
Se 0.180 0.491 0.658
Se 0.257 0.432 0.497
Se 0.299 0.208 0.393
Se 0.330 0.909 0.353
Se 0.379 0.686 0.251
Se 0.403 0.179 0.199
Se 0.484 0.225 0.034
Se 0.563 0.523 0.891
Se 0.630 0.276 0.759
Se 0.670 0.987 0.659
Se 0.751 0.937 0.495
Se 0.803 0.647 0.396
Se 0.874 0.399 0.266
Se 0.943 0.695 0.123
O 0.203 0.791 0.600
O 0.222 0.134 0.555
O 0.479 0.890 0.046
O 0.483 0.541 0.042
O 0.550 0.992 0.920
O 0.702 0.290 0.604
O 0.733 0.634 0.551
O 0.887 0.930 0.235
O 0.944 0.030 0.110
O 0.949 0.379 0.115

***

# 5
The following is a simulated powder diffractogram of La2Si3O9. It was derived from the GGA-PBE geometry in the Materials Project, using Cu Kα (weighted mean of Kα1 and Kα2).

The 8 most intense peaks (10° ≤ 2θ ≤ 90°), by angle:
| 2theta | d/Å | I (rel.) | hkl |
| --- | --- | --- | --- |
| 14.95 | 5.926 | 33.7 | 1 0 0 |
| 22.94 | 3.878 | 82.4 | 1 0 2 |
| 26.05 | 3.421 | 29.9 | 1 1 0 |
| 31.43 | 2.846 | 100.0 | 1 1 2 |
| 40.27 | 2.240 | 22.9 | 2 1 0 |
| 44.14 | 2.052 | 30.2 | 1 1 4 |
| 45.95 | 1.975 | 23.4 | 3 0 0 |
| 46.86 | 1.939 | 21.2 | 2 0 4 |

Cell and atoms:
a = 6.8425 Å, b = 6.8425 Å, c = 10.2557 Å
α = 90.00°, β = 90.00°, γ = 120.00°
Space group P6_3/m (No. 176)
One atom of each set of equivalent atoms:
La 0.3333 0.6667 0.0211
Si 0.0339 0.2709 0.7500
O 0.0290 0.2381 0.2500
O 0.0360 0.4036 0.6173